No. 1
The following is a computed powder diffractogram of Sm4MgCu4O10. It was derived from a PBE-relaxed structure, using CuKα.
Lines closer than 0.1° are merged.

Atomic structure:
Lattice parameters (Å, degrees): 5.4363 5.6404 8.8053 72.96 72.20 89.16
Positions (direct):
Sm: 0.0000 0.0000 0.0000
Sm: 0.2193 0.2483 0.4807
Sm: 0.4447 0.5030 0.0501
Sm: 0.7424 0.8169 0.4349
Mg: 0.7357 0.9068 0.7548
Cu: 0.1375 0.5513 0.7503
Cu: 0.3492 0.8872 0.2334
Cu: 0.5510 0.3385 0.6867
Cu: 0.8352 0.3872 0.2444
O: 0.0491 0.8454 0.5616
O: 0.0654 0.6293 0.2637
O: 0.1128 0.1657 0.2235
O: 0.4225 0.9400 0.9533
O: 0.5048 0.6137 0.7581
O: 0.5407 0.5887 0.2929
O: 0.5892 0.1227 0.5594
O: 0.6345 0.1278 0.2075
O: 0.8775 0.6663 0.9372
O: 0.9626 0.2233 0.7450

Most intense lines, 5° ≤ 2θ ≤ 70°, by angle:
2θ = 22.56°, d = 3.941 Å, I 234; 2θ = 22.89°, d = 3.885 Å, I 351; 2θ = 31.40°, d = 2.849 Å, I 492; 2θ = 31.74°, d = 2.819 Å, I 528; 2θ = 31.84°, d = 2.811 Å, I 311; 2θ = 32.41°, d = 2.762 Å, I 1000; 2θ = 32.96°, d = 2.718 Å, I 517; 2θ = 40.71°, d = 2.216 Å, I 201; 2θ = 45.41°, d = 1.997 Å, I 146; 2θ = 46.06°, d = 1.971 Å, I 293; 2θ = 46.76°, d = 1.943 Å, I 206; 2θ = 57.63°, d = 1.599 Å, I 205

---

No. 2
The following is a computed powder diffractogram of Er6Ge11. It was derived from a PBE-relaxed structure, using CuKα.
Lines closer than 0.1° are merged.

Atomic structure:
Lattice parameters (Å, degrees): 43.6835 43.6835 4.0385 90.12 90.12 5.39
Positions (direct):
Er: 0.0000 0.0000 0.0000
Er: 0.0360 0.0360 0.5060
Er: 0.2547 0.2547 0.0000
Er: 0.2919 0.2919 0.5169
Er: 0.3333 0.3333 0.9994
Er: 0.3694 0.3694 0.5050
Er: 0.5873 0.5873 0.0038
Er: 0.6251 0.6251 0.5397
Er: 0.6658 0.6658 0.0397
Er: 0.7036 0.7036 0.5031
Er: 0.9214 0.9214 0.9995
Er: 0.9586 0.9586 0.5167
Ge: 0.0619 0.0619 0.0117
Ge: 0.0913 0.0913 0.5027
Ge: 0.1109 0.1109 0.0108
Ge: 0.1383 0.1383 0.0646
Ge: 0.1525 0.1525 0.5661
Ge: 0.1799 0.1799 0.5095
Ge: 0.1993 0.1993 0.0028
Ge: 0.2289 0.2289 0.5053
Ge: 0.3955 0.3955 0.0119
Ge: 0.4281 0.4281 0.4993
Ge: 0.4474 0.4474 0.0073
Ge: 0.4760 0.4760 0.1274
Ge: 0.5085 0.5085 0.5025
Ge: 0.5283 0.5283 0.0067
Ge: 0.5619 0.5619 0.5035
Ge: 0.7289 0.7289 0.0065
Ge: 0.7619 0.7619 0.5006
Ge: 0.7809 0.7809 0.0103
Ge: 0.8094 0.8094 0.1260
Ge: 0.8421 0.8421 0.5012
Ge: 0.8622 0.8622 0.0052
Ge: 0.8954 0.8954 0.4978

Most intense lines, 5° ≤ 2θ ≤ 70°, by angle:
2θ = 25.23°, d = 3.530 Å, I 222; 2θ = 30.60°, d = 2.922 Å, I 104; 2θ = 32.43°, d = 2.761 Å, I 155; 2θ = 34.76°, d = 2.581 Å, I 1000; 2θ = 35.33°, d = 2.540 Å, I 252; 2θ = 38.02°, d = 2.367 Å, I 222; 2θ = 43.50°, d = 2.080 Å, I 115; 2θ = 44.09°, d = 2.054 Å, I 227; 2θ = 44.89°, d = 2.019 Å, I 193; 2θ = 58.39°, d = 1.580 Å, I 131; 2θ = 63.69°, d = 1.461 Å, I 123; 2θ = 64.74°, d = 1.440 Å, I 129

---

No. 3
The following is a computed powder diffractogram of LaNiSnH2. It was derived from a PBE-relaxed structure, using CuKα.
Lines closer than 0.1° are merged.

Atomic structure:
Lattice parameters (Å, degrees): 4.4463 4.4463 8.6790 90.00 90.00 120.00
Positions (direct):
La: 0.0000 0.0000 0.0000
La: 0.0000 0.0000 0.5000
Ni: 0.3333 0.6667 0.2500
Ni: 0.6667 0.3333 0.7500
Sn: 0.3333 0.6667 0.7500
Sn: 0.6667 0.3333 0.2500
H: 0.3333 0.6667 0.0654
H: 0.3333 0.6667 0.4346
H: 0.6667 0.3333 0.5654
H: 0.6667 0.3333 0.9346

Most intense lines, 5° ≤ 2θ ≤ 70°, by angle:
2θ = 20.47°, d = 4.339 Å, I 20; 2θ = 23.10°, d = 3.851 Å, I 35; 2θ = 25.30°, d = 3.520 Å, I 68; 2θ = 31.05°, d = 2.880 Å, I 1000; 2θ = 38.94°, d = 2.313 Å, I 27; 2θ = 40.58°, d = 2.223 Å, I 490; 2θ = 41.62°, d = 2.170 Å, I 149; 2θ = 45.86°, d = 1.979 Å, I 16; 2θ = 51.96°, d = 1.760 Å, I 236; 2θ = 59.53°, d = 1.553 Å, I 310; 2θ = 67.93°, d = 1.380 Å, I 210; 2θ = 69.41°, d = 1.354 Å, I 99

---

No. 4
The following is a computed powder diffractogram of ZnCuAsHO5. It was derived from a PBE-relaxed structure, using CuKα.
Lines closer than 0.1° are merged.

Atomic structure:
Lattice parameters (Å, degrees): 8.6833 8.7511 6.0151 90.00 90.00 90.00
Positions (direct):
Zn: 0.1393 0.1245 0.0000
Zn: 0.3607 0.6245 0.5000
Zn: 0.6393 0.3755 0.5000
Zn: 0.8607 0.8755 0.0000
Cu: 0.0000 0.5000 0.2498
Cu: 0.0000 0.5000 0.7502
Cu: 0.5000 0.0000 0.2502
Cu: 0.5000 0.0000 0.7498
As: 0.2353 0.7462 0.0000
As: 0.2647 0.2462 0.5000
As: 0.7353 0.7538 0.5000
As: 0.7647 0.2538 0.0000
H: 0.0702 0.7011 0.5000
H: 0.4298 0.2011 0.0000
H: 0.5702 0.7989 0.0000
H: 0.9298 0.2989 0.5000
O: 0.1044 0.8951 0.0000
O: 0.1160 0.5983 0.5000
O: 0.1295 0.5759 0.0000
O: 0.1468 0.2566 0.2720
O: 0.1468 0.2566 0.7280
O: 0.3532 0.7566 0.2280
O: 0.3532 0.7566 0.7720
O: 0.3705 0.0759 0.5000
O: 0.3840 0.0983 0.0000
O: 0.3956 0.3951 0.5000
O: 0.6044 0.6049 0.5000
O: 0.6160 0.9017 0.0000
O: 0.6295 0.9241 0.5000
O: 0.6468 0.2434 0.2280
O: 0.6468 0.2434 0.7720
O: 0.8532 0.7434 0.2720
O: 0.8532 0.7434 0.7280
O: 0.8705 0.4241 0.0000
O: 0.8840 0.4017 0.5000
O: 0.8956 0.1049 0.0000

Most intense lines, 5° ≤ 2θ ≤ 70°, by angle:
2θ = 14.37°, d = 6.164 Å, I 520; 2θ = 17.92°, d = 4.951 Å, I 1000; 2θ = 20.63°, d = 4.305 Å, I 425; 2θ = 22.76°, d = 3.907 Å, I 339; 2θ = 28.97°, d = 3.082 Å, I 961; 2θ = 32.61°, d = 2.746 Å, I 441; 2θ = 33.14°, d = 2.703 Å, I 475; 2θ = 35.74°, d = 2.512 Å, I 537; 2θ = 35.93°, d = 2.500 Å, I 384; 2θ = 36.31°, d = 2.474 Å, I 652; 2θ = 56.13°, d = 1.639 Å, I 341; 2θ = 56.34°, d = 1.633 Å, I 378